[1]
Zn2PtBr: calculated XRD peak list (copper Kα), based on a cell relaxed with PBE.

a b c (Å): 7.4871 7.4871 7.4871
angles (deg): 154.50 151.25 38.81
Sites, in units of the cell vectors:
Zn 0.0000 0.0000 0.0000
Zn 0.6747 0.1747 0.5000
Pt 0.5353 0.5353 0.0000
Br 0.2722 0.7722 0.5000

Main lines, by intensity (2θ = 15–90°):
Position (°2θ), I (rel.)
38.61, 100
25.22, 41
24.76, 30
42.08, 26
44.78, 25
30.64, 23
33.12, 20
51.54, 18

=====

[2]
Tm5Au2: calculated XRD peak list (copper Kα), based on a cell relaxed with PBE.

a b c (Å): 8.8068 8.8068 6.8752
angles (deg): 95.12 95.12 45.06
Sites, in units of the cell vectors:
Tm 0.0456 0.9544 0.7500
Tm 0.1676 0.2799 0.2952
Tm 0.2785 0.5327 0.0499
Tm 0.2799 0.1676 0.7952
Tm 0.4673 0.7215 0.4501
Tm 0.5327 0.2785 0.5499
Tm 0.7201 0.8324 0.2048
Tm 0.7215 0.4673 0.9501
Tm 0.8324 0.7201 0.7048
Tm 0.9544 0.0456 0.2500
Au 0.1089 0.6689 0.4457
Au 0.3311 0.8911 0.0543
Au 0.6689 0.1089 0.9457
Au 0.8911 0.3311 0.5543

Main lines, by intensity (2θ = 15–90°):
Position (°2θ), I (rel.)
34.60, 100
30.62, 87
35.97, 81
32.59, 81
37.43, 71
32.01, 70
29.31, 56
34.43, 46

=====

[3]
EuTiPb2: calculated XRD peak list (copper Kα), based on a cell relaxed with PBE.

a b c (Å): 3.8195 3.8195 7.2778
angles (deg): 90.00 90.00 90.00
Sites, in units of the cell vectors:
Eu 0.0000 0.0000 0.0000
Ti 0.0000 0.0000 0.5000
Pb 0.5000 0.5000 0.2868
Pb 0.5000 0.5000 0.7132

Main lines, by intensity (2θ = 15–90°):
Position (°2θ), I (rel.)
34.03, 100
33.17, 62
59.81, 40
26.35, 23
47.62, 23
23.29, 17
50.58, 14
61.45, 11

=====

[4]
Pu2ZrFe9: calculated XRD peak list (copper Kα), based on a cell relaxed with PBE.

a b c (Å): 8.7941 8.7941 8.7941
angles (deg): 31.83 31.83 31.83
Sites, in units of the cell vectors:
Pu 0.1472 0.1472 0.1472
Pu 0.8528 0.8528 0.8528
Zr 0.0000 0.0000 0.0000
Fe 0.0806 0.5800 0.5800
Fe 0.3335 0.3335 0.3335
Fe 0.4200 0.4200 0.9194
Fe 0.4200 0.9194 0.4200
Fe 0.5000 0.5000 0.5000
Fe 0.5800 0.0806 0.5800
Fe 0.5800 0.5800 0.0806
Fe 0.6665 0.6665 0.6665
Fe 0.9194 0.4200 0.4200

Main lines, by intensity (2θ = 15–90°):
Position (°2θ), I (rel.)
43.34, 100
32.98, 51
37.28, 48
43.48, 26
25.64, 20
35.86, 19
71.42, 19
38.87, 19

=====

[5]
TcBi2O8: calculated XRD peak list (copper Kα), based on a cell relaxed with PBE.

a b c (Å): 4.4039 6.4589 6.4754
angles (deg): 89.66 78.81 79.02
Sites, in units of the cell vectors:
Tc 0.0000 0.0000 0.0000
Bi 0.2862 0.3907 0.6284
Bi 0.6883 0.8189 0.5080
O 0.1652 0.2933 0.9295
O 0.2328 0.7011 0.4904
O 0.3667 0.8466 0.8893
O 0.3990 0.1151 0.4421
O 0.7636 0.4825 0.5953
O 0.7978 0.0573 0.7884
O 0.8119 0.8032 0.1479
O 0.9606 0.1659 0.2215

Main lines, by intensity (2θ = 15–90°):
Position (°2θ), I (rel.)
22.84, 100
28.78, 78
27.48, 75
28.13, 73
20.11, 64
31.13, 62
31.94, 39
24.87, 36

=====

[6]
Bi2SbPb6: calculated XRD peak list (copper Kα), based on a cell relaxed with PBE.

a b c (Å): 4.4020 8.6647 8.6647
angles (deg): 116.00 90.00 90.00
Sites, in units of the cell vectors:
Bi 0.0000 0.1808 0.8192
Bi 0.0000 0.8192 0.1808
Sb 0.5000 0.5455 0.5455
Pb 0.0000 0.2351 0.4665
Pb 0.0000 0.4665 0.2351
Pb 0.0000 0.7934 0.7934
Pb 0.5000 0.1025 0.1025
Pb 0.5000 0.5117 0.9201
Pb 0.5000 0.9201 0.5117

Main lines, by intensity (2θ = 15–90°):
Position (°2θ), I (rel.)
30.65, 100
28.95, 87
28.08, 65
34.55, 49
31.97, 46
41.01, 39
58.00, 30
63.33, 29

=====

[7]
Na3Sb2Au4: calculated XRD peak list (copper Kα), based on a cell relaxed with PBE.

a b c (Å): 5.8312 5.8312 9.0258
angles (deg): 98.17 98.17 48.77
Sites, in units of the cell vectors:
Na 0.0000 0.0000 0.0000
Na 0.3805 0.3805 0.6158
Na 0.6195 0.6195 0.3842
Sb 0.3129 0.3129 0.2303
Sb 0.6871 0.6871 0.7697
Au 0.0846 0.0846 0.6286
Au 0.2674 0.2674 0.9154
Au 0.7326 0.7326 0.0846
Au 0.9154 0.9154 0.3714

Main lines, by intensity (2θ = 15–90°):
Position (°2θ), I (rel.)
18.23, 100
37.68, 57
35.37, 36
39.83, 33
37.35, 32
22.04, 27
41.86, 25
16.90, 21

=====

[8]
Na3In4Hg2: calculated XRD peak list (copper Kα), based on a cell relaxed with PBE.

a b c (Å): 5.1399 6.0998 8.9236
angles (deg): 72.90 89.62 65.13
Sites, in units of the cell vectors:
Na 0.0000 0.0000 0.0000
Na 0.1426 0.7167 0.6736
Na 0.8574 0.2833 0.3264
In 0.3155 0.3671 0.0709
In 0.4447 0.1119 0.6413
In 0.5553 0.8881 0.3587
In 0.6845 0.6329 0.9291
Hg 0.1905 0.6187 0.3380
Hg 0.8095 0.3813 0.6620

Main lines, by intensity (2θ = 15–90°):
Position (°2θ), I (rel.)
32.57, 100
34.92, 80
35.32, 63
35.48, 62
31.76, 60
20.58, 58
22.39, 56
44.69, 54

=====

[9]
BaMnTc: calculated XRD peak list (copper Kα), based on a cell relaxed with PBE.

a b c (Å): 6.6139 6.6139 6.6139
angles (deg): 151.10 151.10 41.33
Sites, in units of the cell vectors:
Ba 0.0000 0.0000 0.0000
Mn 0.7191 0.7191 0.0000
Tc 0.2811 0.2811 0.0000

Main lines, by intensity (2θ = 15–90°):
Position (°2θ), I (rel.)
34.81, 100
38.58, 64
28.85, 51
48.88, 46
27.98, 44
59.29, 34
67.38, 28
85.74, 24

=====

[10]
MgAg4Au: calculated XRD peak list (copper Kα), based on a cell relaxed with PBE.

a b c (Å): 5.1081 5.1081 5.8059
angles (deg): 107.92 107.92 48.93
Sites, in units of the cell vectors:
Mg 0.0000 0.0000 0.0000
Ag 0.3342 0.3342 0.1665
Ag 0.3336 0.3336 0.6686
Ag 0.6664 0.6664 0.3314
Ag 0.6658 0.6658 0.8335
Au 0.0000 0.0000 0.5000

Main lines, by intensity (2θ = 15–90°):
Position (°2θ), I (rel.)
37.45, 100
37.59, 99
42.74, 34
43.37, 33
44.65, 30
74.81, 25
16.22, 23
62.53, 21

=====

[11]
GdGaI: calculated XRD peak list (copper Kα), based on a cell relaxed with PBE.

a b c (Å): 4.2361 4.2361 12.0915
angles (deg): 90.00 90.00 120.00
Sites, in units of the cell vectors:
Gd 0.0000 0.0000 0.1689
Gd 0.0000 0.0000 0.8311
Ga 0.3333 0.6667 0.9733
Ga 0.6667 0.3333 0.0267
I 0.3333 0.6667 0.3356
I 0.6667 0.3333 0.6644

Main lines, by intensity (2θ = 15–90°):
Position (°2θ), I (rel.)
33.02, 100
28.46, 49
42.69, 49
25.37, 38
44.93, 31
63.73, 31
55.00, 23
72.03, 21

=====

[12]
ThPO4F2: calculated XRD peak list (copper Kα), based on a cell relaxed with PBE.

a b c (Å): 6.0796 6.1691 6.8701
angles (deg): 90.00 90.00 90.00
Sites, in units of the cell vectors:
Th 0.2500 0.2500 0.1511
Th 0.7500 0.7500 0.8489
P 0.2500 0.7500 0.4978
P 0.7500 0.2500 0.5022
O 0.0479 0.7500 0.6309
O 0.2500 0.5517 0.3638
O 0.2500 0.9483 0.3638
O 0.4521 0.7500 0.6309
O 0.5479 0.2500 0.3691
O 0.7500 0.0517 0.6362
O 0.7500 0.4483 0.6362
O 0.9521 0.2500 0.3691
F 0.0000 0.0000 0.0000
F 0.0000 0.5000 0.0000
F 0.5000 0.0000 0.0000
F 0.5000 0.5000 0.0000

Main lines, by intensity (2θ = 15–90°):
Position (°2θ), I (rel.)
19.50, 100
19.34, 99
24.30, 92
20.51, 60
42.09, 46
42.32, 43
29.77, 31
29.88, 30